Entry 1:
Theoretical powder X-ray diffraction pattern
Compound: SrSnHg
Radiation: Cu Ka
Structure: a crystal structure in Alexandria, relaxed with GGA-PBE

Main lines, in order of rising 2θ (2θ = 10–90°):
| 2θ (°) | Rel. int. |
| --- | --- |
| 18.52 | 290 |
| 28.95 | 1000 |
| 31.72 | 919 |
| 33.94 | 387 |
| 37.55 | 380 |
| 38.74 | 226 |
| 38.94 | 397 |
| 51.50 | 240 |

Structure:
Unit cell a=4.7906 b=8.0707 c=8.0707 alpha=120.24 beta=90.00 gamma=90.00
Sites, in units of the cell vectors:
Sr: 0.0000 0.0000 0.0000
Sr: 0.0000 0.4203 0.8402
Sr: 0.0000 0.8402 0.4203
Sn: 0.0000 0.4206 0.4206
Sn: 0.5000 0.0873 0.7541
Sn: 0.5000 0.7541 0.0873
Hg: 0.5000 0.1631 0.4214
Hg: 0.5000 0.4214 0.1631
Hg: 0.5000 0.6784 0.6784



Entry 2:
Theoretical powder X-ray diffraction pattern
Compound: Pm4AsC2
Radiation: Cu Ka
Structure: a crystal structure in Alexandria, relaxed with GGA-PBE

Main lines, in order of rising 2θ (2θ = 10–90°):
| 2θ (°) | Rel. int. |
| --- | --- |
| 20.46 | 179 |
| 28.91 | 1000 |
| 29.09 | 296 |
| 32.25 | 368 |
| 32.58 | 501 |
| 38.78 | 435 |
| 48.97 | 206 |
| 53.82 | 203 |

Structure:
Unit cell a=7.5493 b=7.5493 c=7.5493 alpha=109.80 beta=109.80 gamma=108.81
Sites, in units of the cell vectors:
Pm: 0.2236 0.2894 0.5658
Pm: 0.2236 0.6578 0.9342
Pm: 0.2894 0.2236 0.0658
Pm: 0.3422 0.7764 0.5658
Pm: 0.6578 0.2236 0.4342
Pm: 0.7106 0.7764 0.9342
Pm: 0.7764 0.3422 0.0658
Pm: 0.7764 0.7106 0.4342
As: 0.1250 0.8750 0.2500
As: 0.8750 0.1250 0.7500
C: 0.0000 0.5000 0.5000
C: 0.5000 0.0000 0.0000
C: 0.5000 0.5000 0.0000
C: 0.5000 0.5000 0.5000